Structure and simulated powder diffraction line list of Ca2SnH (a PBE-relaxed structure; CuKα).

Atomic structure:
Unit cell a=6.356 b=5.945 c=12.047 alpha=90.00 beta=118.88 gamma=90.00
Space group P2/c (No. 13)
Inequivalent atoms, fractional coordinates:
Ca (0.029, 0.244, 0.424) [4 per cell]
Ca (0.309, 0.200, 0.840) [4 per cell]
Sn (0.492, 0.304, 0.369) [4 per cell]
H (0.031, 0.136, 0.632) [4 per cell]

Peak list (6 most intense, 5 to 70 degrees two-theta, sorted by position)
d (Å)  I/Imax  hkl
5.565  1000  1 0 0
5.179  926  0 1 1
3.026  651  0 1 3
3.011  531  1 0 -4
2.973  791  0 2 0
2.737  927  2 1 -1